Tb4AlNi2Ge4: simulated powder diffractogram (a wavelength of 1.5418 Å), based on a DFT-relaxed cell (GGA-PBE, OQMD).
Lines closer than 0.1° are merged.

Crystal structure
abc: 15.365 4.268 6.976
angles: 90.00 108.33 90.00
Space group C2/m (No. 12)
Asymmetric unit:
Tb 0.090 0.000 0.387 [4 per cell]
Tb 0.154 0.000 0.939 [4 per cell]
Al 0.000 0.500 0.000 [2 per cell]
Ni 0.217 0.500 0.644 [4 per cell]
Ge 0.064 0.500 0.668 [4 per cell]
Ge 0.203 0.500 0.271 [4 per cell]

Top 8 peaks for 10° ≤ 2θ ≤ 90°, most intense first:
| 2theta | I/Imax | (hkl) |
| --- | --- | --- |
| 34.7 | 100 | 3 1 -2 |
| 36.4 | 84 | 1 1 2 |
| 33.5 | 74 | 3 1 1 |
| 36.2 | 61 | 5 1 -1 |
| 42.4 | 59 | 0 2 0 |
| 37.3 | 34 | 5 1 0 |
| 35.1 | 25 | 6 0 -1 |
| 40.9 | 23 | 0 0 3 |

Y4AlNi2Ge4: simulated powder diffractogram (a wavelength of 1.5418 Å), based on a DFT-relaxed cell (GGA-PBE, OQMD).
Lines closer than 0.1° are merged.

Crystal structure
abc: 15.303 4.253 6.962
angles: 90.00 108.36 90.00
Space group C2/m (No. 12)
Asymmetric unit:
Y 0.090 0.000 0.387 [4 per cell]
Y 0.154 0.000 0.939 [4 per cell]
Al 0.000 0.500 0.000 [2 per cell]
Ni 0.217 0.500 0.643 [4 per cell]
Ge 0.064 0.500 0.669 [4 per cell]
Ge 0.201 0.500 0.267 [4 per cell]

Top 8 peaks for 10° ≤ 2θ ≤ 90°, most intense first:
| 2theta | I/Imax | (hkl) |
| --- | --- | --- |
| 34.8 | 100 | 3 1 -2 |
| 36.5 | 98 | 1 1 2 |
| 33.6 | 81 | 3 1 1 |
| 42.5 | 74 | 0 2 0 |
| 36.4 | 69 | 5 1 -1 |
| 37.5 | 45 | 5 1 0 |
| 41.0 | 32 | 0 0 3 |
| 38.6 | 26 | 6 0 -2 |

Al2GePd5: simulated powder diffractogram (a wavelength of 1.5418 Å), based on a DFT-relaxed cell (GGA-PBE, OQMD).
Lines closer than 0.1° are merged.

Crystal structure
abc: 4.027 4.027 14.816
angles: 90.00 90.00 90.00
Space group I4/mmm (No. 139)
Asymmetric unit:
Al 0.000 0.000 0.247 [4 per cell]
Ge 0.000 0.000 0.500 [2 per cell]
Pd 0.000 0.000 0.000 [2 per cell]
Pd 0.000 0.500 0.137 [8 per cell]

Top 8 peaks for 10° ≤ 2θ ≤ 90°, most intense first:
| 2theta | I/Imax | (hkl) |
| --- | --- | --- |
| 39.9 | 100 | 1 1 4 |
| 45.0 | 38 | 2 0 0 |
| 79.6 | 26 | 3 1 4 |
| 68.9 | 16 | 2 0 8 |
| 33.7 | 15 | 1 1 2 |
| 65.6 | 12 | 2 2 0 |
| 49.2 | 11 | 0 0 8 |
| 31.4 | 9 | 1 1 0 |

PrSmAl2Ge2: simulated powder diffractogram (a wavelength of 1.5418 Å), based on a DFT-relaxed cell (GGA-PBE, OQMD).
Lines closer than 0.1° are merged.

Crystal structure
abc: 4.260 4.262 14.738
angles: 90.00 90.00 90.00
Space group Imm2 (No. 44)
Asymmetric unit:
Pr 0.000 0.000 0.000 [2 per cell]
Sm 0.000 0.500 0.750 [2 per cell]
Al 0.000 0.000 0.416 [2 per cell]
Al 0.000 0.500 0.166 [2 per cell]
Ge 0.000 0.000 0.582 [2 per cell]
Ge 0.000 0.500 0.331 [2 per cell]

Top 8 peaks for 10° ≤ 2θ ≤ 90°, most intense first:
| 2theta | I/Imax | (hkl) |
| --- | --- | --- |
| 32.1 | 100 | 1 1 2 |
| 37.1 | 45 | 1 0 5 |
| 27.7 | 41 | 0 1 3 |
| 42.4 | 35 | 2 0 0 |
| 57.6 | 25 | 2 1 5 |
| 48.2 | 25 | 1 0 7 |
| 71.1 | 20 | 3 1 2 |
| 66.1 | 17 | 1 2 7 |